No. 1
For CsTl3Pt, a structure optimized by DFT (GGA-PBE) gives the theoretical X-ray diffraction stick pattern in this record (CuKα).

Peak list (10 most intense, 15° ≤ 2θ ≤ 90°, by angle)
- d 3.116, 28.6°, I 100, hkl 3 1 1
- d 2.858, 31.3°, I 15, hkl 0 2 0
- d 2.828, 31.6°, I 21, hkl 3 1 -2
- d 2.597, 34.5°, I 14, hkl 2 2 -1
- d 2.584, 34.7°, I 13, hkl 1 1 2
- d 2.404, 37.4°, I 16, hkl 4 2 -1
- d 2.221, 40.6°, I 12, hkl 4 0 2
- d 2.163, 41.8°, I 22, hkl 2 2 -2
- d 2.069, 43.8°, I 18, hkl 0 0 3
- d 1.696, 54.1°, I 18, hkl 5 3 -1

Structural model:
Lattice parameters (Å, degrees): 19.138 5.717 6.618 90.00 110.12 90.00
Space group Cm (No. 8)
Inequivalent atoms, fractional coordinates:
Cs 0.000 0.000 0.000
Cs 0.001 0.500 0.467
Tl 0.137 0.000 0.648
Tl 0.137 0.500 0.093
Tl 0.264 0.500 0.859
Tl 0.265 0.000 0.135
Tl 0.352 0.000 0.768
Tl 0.352 0.500 0.398
Pt 0.227 0.249 0.458

***

No. 2
For PbS4I, a structure optimized by DFT (GGA-PBE) gives the theoretical X-ray diffraction stick pattern in this record (CuKα).

Peak list (10 most intense, 15° ≤ 2θ ≤ 90°, by angle)
- d 5.695, 15.6°, I 32, hkl 0 1 1
- d 4.876, 18.2°, I 100, hkl 0 2 -1
- d 4.647, 19.1°, I 32, hkl 0 2 0
- d 3.890, 22.9°, I 36, hkl -1 1 1
- d 3.872, 23.0°, I 30, hkl 1 1 0
- d 3.218, 27.7°, I 54, hkl 1 1 1
- d 3.115, 28.7°, I 55, hkl 0 3 -2
- d 2.919, 30.6°, I 41, hkl 1 0 2
- d 2.865, 31.2°, I 40, hkl 1 0 -3
- d 2.849, 31.4°, I 33, hkl 1 -2 2

Structural model:
Lattice parameters (Å, degrees): 4.564 9.883 10.140 109.12 101.52 91.37
Space group P-1 (No. 2)
Inequivalent atoms, fractional coordinates:
Pb 0.239 0.283 0.416
S 0.084 0.679 0.332
S 0.153 0.436 0.995
S 0.355 0.523 0.301
S 0.498 0.095 0.573
I 0.364 0.852 0.803

***

No. 3
For SrTm2Pt9, a structure optimized by DFT (GGA-PBE) gives the theoretical X-ray diffraction stick pattern in this record (CuKα).

Peak list (10 most intense, 15° ≤ 2θ ≤ 90°, by angle)
- d 4.651, 19.1°, I 30, hkl 1 0 1
- d 2.353, 38.2°, I 28, hkl 0 2 1
- d 2.317, 38.9°, I 100, hkl 1 1 6
- d 2.224, 40.6°, I 22, hkl 0 2 4
- d 2.194, 41.1°, I 26, hkl 0 0 12
- d 2.156, 41.9°, I 57, hkl 2 0 5
- d 2.135, 42.3°, I 26, hkl 0 1 11
- d 1.482, 62.7°, I 25, hkl 0 3 6
- d 1.364, 68.8°, I 29, hkl 2 2 0
- d 1.158, 83.4°, I 21, hkl 2 2 12

Structural model:
Lattice parameters (Å, degrees): 5.4563 5.4563 26.3314 90.00 90.00 120.00
Space group R-3m (No. 166, hexagonal axes)
Inequivalent atoms, fractional coordinates:
Sr 0.0000 0.0000 0.0000
Tm 0.0000 0.0000 0.1405
Pt 0.0000 0.0000 0.3324
Pt 0.0000 0.0000 0.5000
Pt 0.0055 0.5027 0.9136

***

No. 4
For TeI2Cl, a structure optimized by DFT (GGA-PBE) gives the theoretical X-ray diffraction stick pattern in this record (CuKα).

Peak list (10 most intense, 15° ≤ 2θ ≤ 90°, by angle)
- d 5.808, 15.3°, I 43, hkl 0 1 1
- d 3.947, 22.5°, I 34, hkl 1 1 1
- d 3.640, 24.5°, I 100, hkl 2 1 -2
- d 3.480, 25.6°, I 25, hkl 2 1 -1
- d 3.167, 28.2°, I 76, hkl 1 1 -4
- d 2.445, 36.8°, I 83, hkl 1 2 2
- d 2.337, 38.5°, I 45, hkl 3 0 -6
- d 1.977, 45.9°, I 40, hkl 0 0 6
- d 1.820, 50.1°, I 27, hkl 4 2 -4
- d 1.738, 52.7°, I 30, hkl 2 1 4

Structural model:
Lattice parameters (Å, degrees): 8.691 6.661 14.702 90.00 126.21 90.00
Space group P2_1/c (No. 14)
Inequivalent atoms, fractional coordinates:
Te 0.166 0.000 0.416
I 0.192 0.250 0.077
I 0.461 0.750 0.077
Cl 0.122 0.750 0.250

***

No. 5
For Tl2Pt2O7, a structure optimized by DFT (GGA-PBE) gives the theoretical X-ray diffraction stick pattern in this record (CuKα).

Peak list (9 most intense, 15° ≤ 2θ ≤ 90°, by angle)
- d 2.983, 30.0°, I 100, hkl 2 2 2
- d 2.583, 34.7°, I 39, hkl 4 0 0
- d 2.371, 38.0°, I 1, hkl 3 3 1
- d 1.827, 49.9°, I 45, hkl 4 4 0
- d 1.558, 59.3°, I 45, hkl 6 2 2
- d 1.491, 62.2°, I 11, hkl 4 4 4
- d 1.292, 73.3°, I 7, hkl 8 0 0
- d 1.185, 81.1°, I 19, hkl 6 6 2
- d 1.155, 83.7°, I 16, hkl 8 4 0

Structural model:
Lattice parameters (Å, degrees): 10.333 10.333 10.333 90.00 90.00 90.00
Space group Fd-3m (No. 227, origin choice 2)
Inequivalent atoms, fractional coordinates:
Tl 0.000 0.000 0.000
Pt 0.000 0.000 0.500
O 0.084 0.375 0.875
O 0.125 0.125 0.125

***

No. 6
For Li6Rh, a structure optimized by DFT (GGA-PBE) gives the theoretical X-ray diffraction stick pattern in this record (CuKα).

Peak list (10 most intense, 15° ≤ 2θ ≤ 90°, by angle)
- d 3.774, 23.6°, I 100, hkl 1 0 1
- d 3.576, 24.9°, I 86, hkl 0 1 2
- d 3.228, 27.6°, I 20, hkl 0 0 6
- d 3.013, 29.7°, I 50, hkl 1 0 4
- d 2.730, 32.8°, I 41, hkl 0 1 5
- d 2.247, 40.1°, I 42, hkl 1 0 7
- d 2.222, 40.6°, I 42, hkl 1 1 0
- d 2.101, 43.1°, I 42, hkl 1 1 3
- d 2.049, 44.2°, I 20, hkl 0 1 8
- d 1.830, 49.8°, I 24, hkl 1 1 6

Structural model:
Lattice parameters (Å, degrees): 4.4432 4.4432 19.3699 90.00 90.00 120.00
Space group R-3m (No. 166, hexagonal axes)
Inequivalent atoms, fractional coordinates:
Li 0.0000 0.0000 0.0849
Li 0.0000 0.0000 0.2111
Li 0.0000 0.0000 0.3677
Rh 0.0000 0.0000 0.5000